Starting from a structure optimized by DFT (GGA-PBE), the powder XRD pattern of LiTl2Pd3 was simulated for λ = 1.5418 Å (Cu Kα).
Neutral-atom scattering factors, no anomalous dispersion.

Most intense lines, 5 to 70 degrees two-theta, low angle first:
d [Å], I (rel.)
6.246, 16
2.964, 19
2.385, 28
2.376, 28
2.290, 100
1.683, 19
1.358, 18
1.355, 19

Cell and atoms:
```
data_LiTl2Pd3
_chemical_formula_sum 'Li2 Tl4 Pd6'
_cell_length_a 7.539
_cell_length_b 7.539
_cell_length_c 6.246
_cell_angle_alpha 90.00
_cell_angle_beta 90.00
_cell_angle_gamma 143.25
_symmetry_space_group_name_H-M 'P 1'
_symmetry_Int_Tables_number 1
loop_
_symmetry_equiv_pos_as_xyz
'x,y,z'
loop_
_atom_site_label
_atom_site_type_symbol
_atom_site_fract_x
_atom_site_fract_y
_atom_site_fract_z
Li1 Li 0.164 0.836 0.000
Li2 Li 0.836 0.164 0.000
Tl1 Tl 0.166 0.834 0.500
Tl2 Tl 0.500 0.500 0.000
Tl3 Tl 0.500 0.500 0.500
Tl4 Tl 0.834 0.166 0.500
Pd1 Pd 0.000 0.000 0.245
Pd2 Pd 0.000 0.000 0.755
Pd3 Pd 0.325 0.675 0.233
Pd4 Pd 0.325 0.675 0.767
Pd5 Pd 0.675 0.325 0.233
Pd6 Pd 0.675 0.325 0.767
```